Entry 1:
Structure and computed X-ray powder pattern of PaNi4Sn6 (DFT lattice parameters and positions (GGA-PBE); Cu Kα X-rays).

The 10 most intense peaks (2θ from 10° to 90°), by angle:
- 30.85°, I 41.6
- 31.00°, I 41.3
- 31.28°, I 28.0
- 32.46°, I 100.0
- 37.34°, I 21.5
- 37.58°, I 21.1
- 41.00°, I 40.3
- 41.22°, I 26.0
- 41.33°, I 25.7
- 42.62°, I 30.1

Atomic structure:
Cell lengths 6.750, 6.729, 6.791 Å; angles 59.91, 59.59, 60.50 degrees
Sites, in units of the cell vectors:
1 Pa 0.000 0.000 0.000
2 Ni 0.262 0.596 0.738
3 Ni 0.404 0.739 0.261
4 Ni 0.596 0.262 0.404
5 Ni 0.739 0.404 0.596
6 Sn 0.000 0.000 0.500
7 Sn 0.109 0.469 0.531
8 Sn 0.469 0.109 0.891
9 Sn 0.500 0.500 0.000
10 Sn 0.530 0.891 0.470
11 Sn 0.891 0.530 0.109



Entry 2:
Structure and computed X-ray powder pattern of Hf2CoCuSn2 (DFT lattice parameters and positions (GGA-PBE); Cu Kα X-rays).

The 10 most intense peaks (2θ from 10° to 90°), by angle:
- 23.58°, I 15.6
- 27.05°, I 16.3
- 35.61°, I 100.0
- 41.45°, I 70.9
- 46.87°, I 15.0
- 55.77°, I 27.9
- 59.83°, I 6.7
- 70.40°, I 13.8
- 71.82°, I 26.5
- 75.61°, I 12.2

Atomic structure:
Cell lengths 4.357, 4.357, 6.778 Å; angles 90.00, 90.00, 120.00 degrees
Sites, in units of the cell vectors:
1 Hf 0.000 0.000 0.000
2 Hf 0.000 0.000 0.479
3 Co 0.333 0.667 0.340
4 Cu 0.667 0.333 0.834
5 Sn 0.333 0.667 0.728
6 Sn 0.667 0.333 0.238



Entry 3:
Structure and computed X-ray powder pattern of Pa3Tc2Ge3 (DFT lattice parameters and positions (GGA-PBE); Cu Kα X-rays).

The 10 most intense peaks (2θ from 10° to 90°), by angle:
- 31.71°, I 50.3
- 32.43°, I 100.0
- 35.72°, I 23.9
- 36.07°, I 35.4
- 36.26°, I 54.1
- 36.79°, I 47.6
- 40.41°, I 41.2
- 40.73°, I 25.3
- 46.16°, I 21.4
- 57.53°, I 22.6

Atomic structure:
Cell lengths 8.480, 14.551, 5.264 Å; angles 90.00, 90.00, 90.00 degrees
Sites, in units of the cell vectors:
1 Pa 0.037 0.118 0.098
2 Pa 0.037 0.382 0.098
3 Pa 0.174 0.250 0.607
4 Pa 0.326 0.750 0.107
5 Pa 0.463 0.618 0.598
6 Pa 0.463 0.882 0.598
7 Pa 0.537 0.118 0.402
8 Pa 0.537 0.382 0.402
9 Pa 0.674 0.250 0.893
10 Pa 0.826 0.750 0.393
11 Pa 0.963 0.618 0.902
12 Pa 0.963 0.882 0.902
13 Tc 0.058 0.597 0.387
14 Tc 0.058 0.903 0.387
15 Tc 0.442 0.097 0.887
16 Tc 0.442 0.403 0.887
17 Tc 0.558 0.597 0.113
18 Tc 0.558 0.903 0.113
19 Tc 0.942 0.097 0.613
20 Tc 0.942 0.403 0.613
21 Ge 0.167 0.750 0.602
22 Ge 0.219 0.039 0.594
23 Ge 0.219 0.461 0.594
24 Ge 0.281 0.539 0.094
25 Ge 0.281 0.961 0.094
26 Ge 0.333 0.250 0.102
27 Ge 0.667 0.750 0.898
28 Ge 0.719 0.039 0.906
29 Ge 0.719 0.461 0.906
30 Ge 0.781 0.539 0.406
31 Ge 0.781 0.961 0.406
32 Ge 0.833 0.250 0.398



Entry 4:
Structure and computed X-ray powder pattern of ThSb2 (DFT lattice parameters and positions (GGA-PBE); Cu Kα X-rays).

The 10 most intense peaks (2θ from 10° to 90°), by angle:
- 22.35°, I 40.6
- 28.60°, I 34.1
- 29.17°, I 35.9
- 30.25°, I 68.5
- 34.75°, I 100.0
- 35.69°, I 53.4
- 40.89°, I 57.5
- 51.01°, I 30.3
- 55.38°, I 30.7
- 70.52°, I 26.0

Atomic structure:
Cell lengths 4.414, 4.414, 9.186 Å; angles 90.00, 90.00, 90.00 degrees
Sites, in units of the cell vectors:
1 Th 0.250 0.250 0.223
2 Th 0.750 0.750 0.777
3 Sb 0.250 0.250 0.865
4 Sb 0.250 0.750 0.500
5 Sb 0.750 0.250 0.500
6 Sb 0.750 0.750 0.135



Entry 5:
Structure and computed X-ray powder pattern of Ac2ScAg3Pb4 (DFT lattice parameters and positions (GGA-PBE); Cu Kα X-rays).

The 10 most intense peaks (2θ from 10° to 90°), by angle:
- 26.40°, I 14.5
- 28.50°, I 53.7
- 30.11°, I 100.0
- 37.68°, I 60.4
- 39.38°, I 21.3
- 40.88°, I 37.4
- 47.91°, I 26.4
- 54.34°, I 21.1
- 56.80°, I 28.8
- 63.39°, I 24.5

Atomic structure:
Cell lengths 4.775, 4.775, 12.446 Å; angles 90.00, 90.00, 90.00 degrees
Sites, in units of the cell vectors:
1 Ac 0.000 0.500 0.242
2 Ac 0.500 0.000 0.758
3 Sc 0.000 0.000 0.500
4 Ag 0.000 0.500 0.861
5 Ag 0.500 0.000 0.139
6 Ag 0.500 0.500 0.500
7 Pb 0.000 0.000 0.000
8 Pb 0.000 0.500 0.638
9 Pb 0.500 0.000 0.362
10 Pb 0.500 0.500 0.000



Entry 6:
Structure and computed X-ray powder pattern of Ni3Ag (DFT lattice parameters and positions (GGA-PBE); Cu Kα X-rays).

The 10 most intense peaks (2θ from 10° to 90°), by angle:
- 40.81°, I 30.1
- 41.22°, I 84.4
- 42.57°, I 68.9
- 44.98°, I 70.8
- 45.35°, I 100.0
- 51.66°, I 40.2
- 69.10°, I 17.5
- 71.63°, I 23.6
- 87.04°, I 27.3
- 89.51°, I 17.2

Atomic structure:
Cell lengths 4.580, 8.495, 5.217 Å; angles 90.00, 90.00, 90.00 degrees
Sites, in units of the cell vectors:
1 Ni 0.077 0.250 0.132
2 Ni 0.227 0.508 0.867
3 Ni 0.227 0.992 0.867
4 Ni 0.273 0.008 0.367
5 Ni 0.273 0.492 0.367
6 Ni 0.423 0.750 0.632
7 Ni 0.577 0.250 0.368
8 Ni 0.727 0.508 0.633
9 Ni 0.727 0.992 0.633
10 Ni 0.773 0.008 0.133
11 Ni 0.773 0.492 0.133
12 Ni 0.923 0.750 0.868
13 Ag 0.065 0.250 0.618
14 Ag 0.435 0.750 0.118
15 Ag 0.565 0.250 0.882
16 Ag 0.935 0.750 0.382



Entry 7:
Structure and computed X-ray powder pattern of Tb2Sm6Y3Tm (DFT lattice parameters and positions (GGA-PBE); Cu Kα X-rays).

The 10 most intense peaks (2θ from 10° to 90°), by angle:
- 30.47°, I 100.0
- 30.66°, I 32.8
- 35.38°, I 67.1
- 50.78°, I 24.0
- 51.03°, I 23.6
- 60.38°, I 14.2
- 60.49°, I 28.3
- 60.72°, I 14.0
- 63.41°, I 12.2
- 82.73°, I 11.7

Atomic structure:
Cell lengths 6.228, 6.228, 11.847 Å; angles 95.01, 95.01, 119.98 degrees
Sites, in units of the cell vectors:
1 Tb 0.167 0.833 0.000
2 Tb 0.833 0.167 0.000
3 Sm 0.084 0.417 0.751
4 Sm 0.250 0.250 0.249
5 Sm 0.417 0.084 0.751
6 Sm 0.583 0.916 0.249
7 Sm 0.750 0.750 0.751
8 Sm 0.916 0.583 0.249
9 Y 0.000 0.000 0.500
10 Y 0.333 0.667 0.500
11 Y 0.667 0.333 0.500
12 Tm 0.500 0.500 0.000



Entry 8:
Structure and computed X-ray powder pattern of FeSi2Se4 (DFT lattice parameters and positions (GGA-PBE); Cu Kα X-rays).

The 10 most intense peaks (2θ from 10° to 90°), by angle:
- 11.33°, I 88.5
- 22.77°, I 62.0
- 29.48°, I 64.9
- 30.63°, I 34.3
- 30.77°, I 100.0
- 36.85°, I 39.9
- 45.10°, I 26.5
- 48.94°, I 39.1
- 51.04°, I 19.7
- 54.37°, I 19.0

Atomic structure:
Cell lengths 8.614, 8.614, 6.537 Å; angles 111.54, 111.54, 23.98 degrees
Sites, in units of the cell vectors:
1 Fe 0.000 0.000 0.000
2 Si 0.427 0.427 0.403
3 Si 0.573 0.573 0.597
4 Se 0.127 0.127 0.456
5 Se 0.396 0.396 0.035
6 Se 0.604 0.604 0.965
7 Se 0.873 0.873 0.544



Repeat the fifth record exactly.
Structure and computed X-ray powder pattern of Ac2ScAg3Pb4 (DFT lattice parameters and positions (GGA-PBE); Cu Kα X-rays).

The 10 most intense peaks (2θ from 10° to 90°), by angle:
- 26.40°, I 14.5
- 28.50°, I 53.7
- 30.11°, I 100.0
- 37.68°, I 60.4
- 39.38°, I 21.3
- 40.88°, I 37.4
- 47.91°, I 26.4
- 54.34°, I 21.1
- 56.80°, I 28.8
- 63.39°, I 24.5

Atomic structure:
Cell lengths 4.775, 4.775, 12.446 Å; angles 90.00, 90.00, 90.00 degrees
Sites, in units of the cell vectors:
1 Ac 0.000 0.500 0.242
2 Ac 0.500 0.000 0.758
3 Sc 0.000 0.000 0.500
4 Ag 0.000 0.500 0.861
5 Ag 0.500 0.000 0.139
6 Ag 0.500 0.500 0.500
7 Pb 0.000 0.000 0.000
8 Pb 0.000 0.500 0.638
9 Pb 0.500 0.000 0.362
10 Pb 0.500 0.500 0.000